Starting from a PBE+U-relaxed structure, the X-ray powder pattern of CeCrS2O was calculated for Cu Ka.
Neutral-atom scattering factors, no anomalous dispersion.

Top 10 peaks for 15° ≤ 2θ ≤ 90°, in order of rising 2θ:
2θ = 15.7°, intensity 20
2θ = 27.3°, intensity 100
2θ = 31.7°, intensity 19
2θ = 33.5°, intensity 37
2θ = 33.7°, intensity 15
2θ = 35.4°, intensity 66
2θ = 40.7°, intensity 13
2θ = 42.1°, intensity 26
2θ = 48.2°, intensity 29
2θ = 48.3°, intensity 11

Cell and atoms:
a = 5.9592 Å, b = 5.9592 Å, c = 8.0269 Å
α = 90.20°, β = 90.20°, γ = 36.96°
Fractional positions:
Ce  0.2347  0.2347  0.2066
Ce  0.7653  0.7653  0.7934
Cr  0.0000  0.0000  0.5000
Cr  0.5000  0.5000  0.0000
S  0.0488  0.0488  0.7977
S  0.3588  0.3588  0.5348
S  0.6412  0.6412  0.4652
S  0.9512  0.9512  0.2023
O  0.3264  0.3264  0.9332
O  0.6736  0.6736  0.0668